(1)
The following is a theoretical powder X-ray diffraction pattern of Li6ZnBr8. It was derived from a GGA-PBE-relaxed structure, using a wavelength of 1.5418 Å.

Cell: 7.793 7.793 7.793 Å, 60.00 60.00 60.00°
Element x y z (fractional)
Li1 0.000 0.000 0.500
Li2 0.000 0.500 0.000
Li3 0.000 0.500 0.500
Li4 0.500 0.000 0.000
Li5 0.500 0.000 0.500
Li6 0.500 0.500 0.000
Zn1 0.000 0.000 0.000
Br1 0.241 0.241 0.759
Br2 0.241 0.759 0.241
Br3 0.241 0.759 0.759
Br4 0.250 0.250 0.250
Br5 0.750 0.750 0.750
Br6 0.759 0.241 0.241
Br7 0.759 0.241 0.759
Br8 0.759 0.759 0.241

The 10 most intense peaks (10° ≤ 2θ ≤ 80°), sorted by position:
6.363 Å, I 17
3.182 Å, I 100
2.755 Å, I 95
2.121 Å, I 6
1.948 Å, I 67
1.662 Å, I 41
1.591 Å, I 23
1.378 Å, I 10
1.264 Å, I 16
1.232 Å, I 28

***

(2)
The following is a theoretical powder X-ray diffraction pattern of LiRuRh. It was derived from a GGA-PBE-relaxed structure, using a wavelength of 1.5418 Å.

Cell: 4.660 7.790 4.636 Å, 90.00 108.40 90.00°
Element x y z (fractional)
Li1 0.000 0.241 0.250
Li2 0.000 0.759 0.750
Li3 0.500 0.259 0.750
Li4 0.500 0.741 0.250
Ru1 0.000 0.428 0.750
Ru2 0.000 0.572 0.250
Ru3 0.500 0.072 0.250
Ru4 0.500 0.928 0.750
Rh1 0.000 0.090 0.750
Rh2 0.000 0.910 0.250
Rh3 0.500 0.410 0.250
Rh4 0.500 0.590 0.750

The 10 most intense peaks (10° ≤ 2θ ≤ 80°), sorted by position:
3.895 Å, I 62
3.393 Å, I 77
2.567 Å, I 36
2.211 Å, I 57
2.200 Å, I 56
2.138 Å, I 100
1.885 Å, I 35
1.878 Å, I 67
1.333 Å, I 21
1.328 Å, I 21

***

(3)
The following is a theoretical powder X-ray diffraction pattern of Nd6SiSb2. It was derived from a GGA-PBE-relaxed structure, using a wavelength of 1.5418 Å.

Cell: 8.488 8.488 4.346 Å, 90.00 90.00 120.00°
Element x y z (fractional)
Nd1 0.000 0.246 0.000
Nd2 0.000 0.589 0.500
Nd3 0.246 0.000 0.000
Nd4 0.411 0.411 0.500
Nd5 0.589 0.000 0.500
Nd6 0.754 0.754 0.000
Si1 0.000 0.000 0.500
Sb1 0.333 0.667 0.000
Sb2 0.667 0.333 0.000

The 10 most intense peaks (10° ≤ 2θ ≤ 80°), sorted by position:
3.036 Å, I 100
2.806 Å, I 68
2.778 Å, I 67
2.450 Å, I 23
2.341 Å, I 19
2.173 Å, I 22
1.846 Å, I 20
1.712 Å, I 32
1.572 Å, I 26
1.505 Å, I 14